For YZn5Cu2Ag, the GGA-PBE geometry in Alexandria gives the calculated PXRD pattern in this record (Cu Kα (weighted mean of Kα1 and Kα2)).
Lines closer than 0.1° are merged.

Atomic structure:
```
data_YZn5Cu2Ag
_space_group_name_H-M_alt 'P 4/m m m'
_space_group_IT_number 123
_space_group_name_Hall '-P 4 2'
_cell_length_a 4.648
_cell_length_b 4.648
_cell_length_c 7.147
_cell_angle_alpha 90.00
_cell_angle_beta 90.00
_cell_angle_gamma 90.00
loop_
_atom_site_label
_atom_site_type_symbol
_atom_site_fract_x
_atom_site_fract_y
_atom_site_fract_z
_atom_site_occupancy
Y1 Y 0.000 0.000 0.000 1
Zn1 Zn 0.000 0.500 0.276 1
Zn2 Zn 0.500 0.500 0.000 1
Cu1 Cu 0.500 0.500 0.337 1
Ag1 Ag 0.000 0.000 0.500 1
```

Top 10 peaks for 2θ = 10–90°, by angle:
| 2theta | Rel. int. | index |
| --- | --- | --- |
| 31.58 | 26 | 1 0 2 |
| 37.16 | 100 | 1 1 2 |
| 38.74 | 94 | 2 0 0 |
| 42.64 | 16 | 1 0 3 |
| 50.81 | 13 | 2 1 2 |
| 55.21 | 13 | 2 0 3 |
| 55.95 | 30 | 2 2 0 |
| 58.97 | 11 | 2 1 3 |
| 65.94 | 13 | 2 0 4 |
| 69.10 | 30 | 3 1 2 |

For Ag4PdF6, the GGA-PBE geometry in Alexandria gives the calculated PXRD pattern in this record (Cu Kα (weighted mean of Kα1 and Kα2)).
Lines closer than 0.1° are merged.

Atomic structure:
```
data_Ag4PdF6
_space_group_name_H-M_alt 'P 4/m n c'
_space_group_IT_number 128
_space_group_name_Hall '-P 4 2n'
_cell_length_a 6.724
_cell_length_b 6.724
_cell_length_c 7.323
_cell_angle_alpha 90.00
_cell_angle_beta 90.00
_cell_angle_gamma 90.00
loop_
_atom_site_label
_atom_site_type_symbol
_atom_site_fract_x
_atom_site_fract_y
_atom_site_fract_z
_atom_site_occupancy
Ag1 Ag 0.152 0.348 0.250 1
Pd1 Pd 0.000 0.000 0.000 1
F1 F 0.000 0.000 0.294 1
F2 F 0.112 0.688 0.000 1
```

Top 10 peaks for 2θ = 10–90°, by angle:
| 2theta | Rel. int. | index |
| --- | --- | --- |
| 17.91 | 29 | 1 0 1 |
| 24.31 | 23 | 0 0 2 |
| 29.71 | 55 | 2 1 0 |
| 30.82 | 24 | 1 1 2 |
| 36.28 | 15 | 2 0 2 |
| 38.75 | 100 | 2 1 2 |
| 42.52 | 44 | 3 1 0 |
| 49.80 | 15 | 0 0 4 |
| 59.07 | 15 | 2 1 4 |
| 67.51 | 18 | 3 1 4 |

For Sm2ThCrN4, the GGA-PBE geometry in Alexandria gives the calculated PXRD pattern in this record (Cu Kα (weighted mean of Kα1 and Kα2)).
Lines closer than 0.1° are merged.

Atomic structure:
```
data_Sm2ThCrN4
_space_group_name_H-M_alt 'C m c m'
_space_group_IT_number 63
_space_group_name_Hall '-C 2c 2'
_cell_length_a 3.448
_cell_length_b 11.687
_cell_length_c 11.939
_cell_angle_alpha 90.00
_cell_angle_beta 90.00
_cell_angle_gamma 90.00
loop_
_atom_site_label
_atom_site_type_symbol
_atom_site_fract_x
_atom_site_fract_y
_atom_site_fract_z
_atom_site_occupancy
Sm1 Sm 0.000 0.132 0.046 1
Th1 Th 0.000 0.398 0.250 1
Cr1 Cr 0.000 0.338 0.750 1
N1 N 0.000 0.064 0.250 1
N2 N 0.000 0.226 0.636 1
N3 N 0.000 0.500 0.000 1
```

Top 10 peaks for 2θ = 10–90°, by angle:
| 2theta | Rel. int. | index |
| --- | --- | --- |
| 27.11 | 82 | 0 2 3 |
| 29.94 | 35 | 0 0 4 |
| 30.60 | 48 | 0 4 0 |
| 30.91 | 100 | 1 1 2 |
| 35.57 | 47 | 1 3 1 |
| 37.97 | 56 | 1 3 2 |
| 43.34 | 19 | 0 4 4 |
| 46.94 | 30 | 1 1 5 |
| 49.53 | 27 | 1 5 2 |
| 52.18 | 28 | 1 3 5 |

What is the formula in the second record? Ag4PdF6